Calculated powder diffractogram
Compound: Ca5Ac4La2
Radiation: a wavelength of 1.5418 Å
Structure: a GGA-PBE-relaxed structure

Crystal structure
Lattice parameters (Å, degrees): 3.8155 9.8705 12.8765 80.82 81.50 78.86
Space group P-1 (No. 2)
One atom of each set of equivalent atoms:
1 Ca 0.0000 0.0000 0.0000
2 Ca 0.2330 0.7358 0.7982
3 Ca 0.4129 0.9089 0.2652
4 Ac 0.1760 0.1759 0.4729
5 Ac 0.3535 0.3661 0.9263
6 La 0.0535 0.5489 0.3455

Peak list (10 most intense, 2θ = 10–80°, sorted by position)
hkl 0 1 -1, 12.32 deg, rel. 49
hkl 0 0 2, 14.04 deg, rel. 53
hkl 0 1 -3, 24.17 deg, rel. 57
hkl 1 1 2, 25.80 deg, rel. 43
hkl 1 0 2, 26.32 deg, rel. 44
hkl 0 3 1, 27.84 deg, rel. 100
hkl 0 1 4, 28.57 deg, rel. 79
hkl 1 2 -1, 29.94 deg, rel. 78
hkl 0 2 -3, 30.09 deg, rel. 73
hkl -1 1 2, 31.51 deg, rel. 78

***

Calculated powder diffractogram
Compound: SrMg10Ag3
Radiation: a wavelength of 1.5418 Å
Structure: a GGA-PBE-relaxed structure

Crystal structure
Lattice parameters (Å, degrees): 14.1109 14.1109 14.1109 90.00 90.00 90.00
Space group Fm-3m (No. 225)
One atom of each set of equivalent atoms:
1 Sr 0.2500 0.2500 0.2500
2 Mg 0.0000 0.1708 0.1708
3 Mg 0.1109 0.1109 0.3891
4 Ag 0.0000 0.0000 0.2673

Peak list (10 most intense, 2θ = 10–80°, sorted by position)
hkl 2 2 2, 21.82 deg, rel. 100
hkl 4 0 0, 25.25 deg, rel. 41
hkl 3 3 3, 32.98 deg, rel. 19
hkl 4 4 0, 36.00 deg, rel. 64
hkl 5 3 1, 37.71 deg, rel. 13
hkl 6 2 2, 42.49 deg, rel. 72
hkl 4 4 4, 44.48 deg, rel. 12
hkl 6 6 2, 56.89 deg, rel. 22
hkl 8 4 4, 64.73 deg, rel. 22
hkl 10 2 2, 69.19 deg, rel. 10

***

Calculated powder diffractogram
Compound: NaNi2AsP
Radiation: a wavelength of 1.5418 Å
Structure: a GGA-PBE-relaxed structure

Crystal structure
Lattice parameters (Å, degrees): 6.2733 3.9044 7.9177 90.00 109.35 90.00
Space group P2_1/m (No. 11)
One atom of each set of equivalent atoms:
1 Na 0.0723 0.2500 0.2429
2 Ni 0.4913 0.7500 0.8780
3 Ni 0.4962 0.7500 0.3735
4 As 0.2830 0.7500 0.5687
5 P 0.3262 0.7500 0.0835

Peak list (10 most intense, 2θ = 10–80°, sorted by position)
hkl 0 0 1, 11.85 deg, rel. 12
hkl 1 0 0, 14.97 deg, rel. 100
hkl 1 1 0, 27.36 deg, rel. 23
hkl 2 1 -2, 39.43 deg, rel. 31
hkl 1 1 2, 39.89 deg, rel. 27
hkl 1 0 -4, 45.85 deg, rel. 19
hkl 0 2 0, 46.52 deg, rel. 19
hkl 3 1 -2, 50.33 deg, rel. 18
hkl 2 1 2, 50.96 deg, rel. 19
hkl 1 2 -4, 67.38 deg, rel. 11

***

Calculated powder diffractogram
Compound: TlHg3Pb3
Radiation: a wavelength of 1.5418 Å
Structure: a GGA-PBE-relaxed structure

Crystal structure
Lattice parameters (Å, degrees): 9.1130 9.1130 5.6200 90.00 90.00 120.00
Space group P6_3/m (No. 176)
One atom of each set of equivalent atoms:
1 Tl 0.3333 0.6667 0.2500
2 Hg 0.0416 0.8141 0.2500
3 Pb 0.0905 0.6230 0.7500

Peak list (10 most intense, 2θ = 10–80°, sorted by position)
hkl 1 2 0, 29.96 deg, rel. 23
hkl 0 0 2, 31.85 deg, rel. 27
hkl 1 2 1, 34.03 deg, rel. 100
hkl 1 2 2, 44.28 deg, rel. 16
hkl 4 1 0, 53.18 deg, rel. 19
hkl 1 2 3, 58.15 deg, rel. 22
hkl 4 1 2, 63.34 deg, rel. 22
hkl 2 4 1, 64.66 deg, rel. 16
hkl 2 4 2, 71.63 deg, rel. 4
hkl 1 2 4, 74.68 deg, rel. 4